1.
Structure and calculated powder X-ray diffraction pattern of TlBiF4 (a PBE-relaxed structure; Cu Ka).
No peak broadening, texture or thermal motion is included.

Principal peaks in the range 2θ from 10° to 90°, sorted by position:
- d = 3.455 Å, I 100.0
- d = 2.858 Å, I 19.7
- d = 2.168 Å, I 37.8
- d = 2.021 Å, I 16.3
- d = 1.946 Å, I 20.9
- d = 1.744 Å, I 29.8

Atomic structure:
```
TlBiF4
1.0
4.0414 0.0000 0.0000
0.0000 4.0414 0.0000
0.0000 0.0000 6.6591
Tl Bi F
1 1 4
Cartesian
0.0000 0.0000 0.0000
2.0207 2.0207 3.3295
0.0000 2.0207 2.0184
0.0000 2.0207 4.6406
2.0207 0.0000 2.0184
2.0207 0.0000 4.6406
```

2.
Structure and calculated powder X-ray diffraction pattern of TlBiF4 (a PBE-relaxed structure; Cu Ka).
No peak broadening, texture or thermal motion is included.

Principal peaks in the range 2θ from 10° to 90°, sorted by position:
- d = 3.743 Å, I 69.5
- d = 3.339 Å, I 52.8
- d = 3.244 Å, I 100.0
- d = 3.162 Å, I 44.5
- d = 2.822 Å, I 66.2
- d = 2.197 Å, I 44.3

Atomic structure:
```
TlBiF4
1.0
6.3733 0.0000 0.0000
0.0000 3.7783 0.0000
-1.0519 0.0000 8.4875
Tl Bi F
2 2 8
Cartesian
1.4696 0.9446 0.8607
3.8518 2.8337 7.6269
1.0266 0.9446 5.1761
4.2948 2.8337 3.3115
0.3090 2.8337 3.6514
0.2067 2.8337 6.3649
2.1344 0.9446 7.1993
2.6310 0.9446 3.3045
2.6904 2.8337 5.1831
3.1870 2.8337 1.2882
5.1147 0.9446 2.1227
5.0124 0.9446 4.8361
```

3.
Structure and calculated powder X-ray diffraction pattern of TlBiF4 (a PBE-relaxed structure; Cu Ka).
No peak broadening, texture or thermal motion is included.

Principal peaks in the range 2θ from 10° to 90°, sorted by position:
- d = 3.495 Å, I 100.0
- d = 3.325 Å, I 29.6
- d = 3.092 Å, I 57.6
- d = 2.408 Å, I 30.2
- d = 1.854 Å, I 20.7
- d = 1.689 Å, I 18.6

Atomic structure:
```
TlBiF4
1.0
3.8576 0.0000 0.0000
0.0000 8.2226 0.0000
0.0000 0.0000 6.6492
Tl Bi F
2 2 8
Cartesian
0.0000 1.1056 0.0000
0.0000 7.1171 3.3246
1.9288 2.9867 3.4196
1.9288 5.2359 0.0950
0.0000 1.9102 2.6650
0.0000 3.3267 4.8896
0.0000 4.8959 1.5651
0.0000 6.3125 5.9896
1.9288 1.1435 4.5777
1.9288 2.9927 0.9554
1.9288 5.2300 4.2799
1.9288 7.0791 1.2531
```

4.
Structure and calculated powder X-ray diffraction pattern of TlBi3F10 (a PBE-relaxed structure; Cu Ka).
No peak broadening, texture or thermal motion is included.

Principal peaks in the range 2θ from 10° to 90°, sorted by position:
- d = 3.510 Å, I 100.0
- d = 3.039 Å, I 45.2
- d = 2.149 Å, I 47.3
- d = 1.833 Å, I 56.4
- d = 1.395 Å, I 21.3
- d = 1.241 Å, I 17.1

Atomic structure:
```
TlBi3F10
1.0
0.0000 6.0789 6.0789
6.0789 0.0000 6.0789
6.0789 6.0789 0.0000
Tl Bi F
2 6 20
Cartesian
3.0395 3.0395 3.0395
9.1184 9.1184 9.1184
6.0789 6.0789 2.9310
6.0789 2.9310 6.0789
9.2269 6.0789 6.0789
2.9310 6.0789 6.0789
6.0789 9.2269 6.0789
6.0789 6.0789 9.2269
1.3782 1.3782 1.3782
4.7008 4.7008 1.3782
4.7008 1.3782 4.7008
6.0789 4.0778 4.0778
8.0801 6.0789 4.0778
8.0801 4.0778 6.0789
10.7797 7.4571 7.4571
4.0778 6.0789 4.0778
6.0789 8.0801 4.0778
4.0778 4.0778 6.0789
8.0801 8.0801 6.0789
6.0789 4.0778 8.0801
8.0801 6.0789 8.0801
1.3782 4.7008 4.7008
4.0778 8.0801 6.0789
4.0778 6.0789 8.0801
6.0789 8.0801 8.0801
7.4571 10.7797 7.4571
7.4571 7.4571 10.7797
10.7797 10.7797 10.7797
```

What did the second record say?
Structure and calculated powder X-ray diffraction pattern of TlBiF4 (a PBE-relaxed structure; Cu Ka).
No peak broadening, texture or thermal motion is included.

Principal peaks in the range 2θ from 10° to 90°, sorted by position:
- d = 3.743 Å, I 69.5
- d = 3.339 Å, I 52.8
- d = 3.244 Å, I 100.0
- d = 3.162 Å, I 44.5
- d = 2.822 Å, I 66.2
- d = 2.197 Å, I 44.3

Atomic structure:
```
TlBiF4
1.0
6.3733 0.0000 0.0000
0.0000 3.7783 0.0000
-1.0519 0.0000 8.4875
Tl Bi F
2 2 8
Cartesian
1.4696 0.9446 0.8607
3.8518 2.8337 7.6269
1.0266 0.9446 5.1761
4.2948 2.8337 3.3115
0.3090 2.8337 3.6514
0.2067 2.8337 6.3649
2.1344 0.9446 7.1993
2.6310 0.9446 3.3045
2.6904 2.8337 5.1831
3.1870 2.8337 1.2882
5.1147 0.9446 2.1227
5.0124 0.9446 4.8361
```